Starting from a crystal structure in Alexandria, relaxed with GGA-PBE, the powder X-ray diffraction pattern of BeSe5 was simulated for Cu Ka.

Top 10 peaks for 15° ≤ 2θ ≤ 90°, in order of rising 2θ:
two_theta	d_spacing	I/Imax
15.06	5.882	100
24.61	3.618	54
25.16	3.539	73
25.81	3.452	69
26.93	3.310	67
28.69	3.112	39
30.46	2.935	61
35.35	2.539	50
38.93	2.314	71
45.06	2.012	40

Cell and atoms:
```
BeSe5
1.0
7.409 -1.873 0.000
7.409 1.873 0.000
-2.121 0.000 6.903
Be Se
1 5
Direct
0.000 0.000 0.000 Be
0.264 0.264 0.844 Se
0.347 0.347 0.179 Se
0.509 0.509 0.173 Se
0.631 0.631 0.797 Se
0.997 0.997 0.707 Se
```